Entry 1:
For Na4MgFeP3O12, DFT lattice parameters and positions (PBE+U) gives the theoretical powder X-ray diffraction pattern in this record (Cu Kα, 1.54184 Å).

Largest 12 diffraction maxima, in order of rising 2θ, 2θ from 10° to 80°:
two_theta  d/Å  I/Imax
14.03  6.314  20
19.97  4.446  29
23.34  3.810  47
24.63  3.615  19
28.27  3.157  15
30.74  2.909  32
31.80  2.814  100
34.65  2.589  58
42.19  2.142  21
45.55  1.992  15
47.74  1.905  39
60.32  1.534  23

Cell and atoms:
```
Na4MgFeP3O12
1.0
4.484 2.589 7.229
-4.484 2.589 7.229
0.000 -5.178 7.229
Na Mg Fe P O
8 2 2 6 24
direct
0.000 0.000 0.000
0.118 0.388 0.746
0.246 0.888 0.618
0.388 0.746 0.118
0.500 0.500 0.500
0.618 0.246 0.888
0.746 0.118 0.388
0.888 0.618 0.246
0.353 0.353 0.353
0.853 0.853 0.853
0.152 0.152 0.152
0.652 0.652 0.652
0.049 0.755 0.455
0.255 0.549 0.955
0.455 0.049 0.755
0.549 0.955 0.255
0.755 0.455 0.049
0.955 0.255 0.549
0.019 0.793 0.620
0.066 0.923 0.274
0.091 0.726 0.929
0.120 0.293 0.519
0.220 0.378 0.985
0.226 0.591 0.429
0.274 0.066 0.923
0.293 0.519 0.120
0.378 0.985 0.220
0.423 0.566 0.774
0.429 0.226 0.591
0.485 0.878 0.720
0.519 0.120 0.293
0.566 0.774 0.423
0.591 0.429 0.226
0.620 0.019 0.793
0.720 0.485 0.878
0.726 0.929 0.091
0.774 0.423 0.566
0.793 0.620 0.019
0.878 0.720 0.485
0.923 0.274 0.066
0.929 0.091 0.726
0.985 0.220 0.378
```



Entry 2:
For NaMgFeS3O12, DFT lattice parameters and positions (PBE+U) gives the theoretical powder X-ray diffraction pattern in this record (Cu Kα, 1.54184 Å).

Largest 12 diffraction maxima, in order of rising 2θ, 2θ from 10° to 80°:
two_theta  d/Å  I/Imax
14.29  6.197  18
19.91  4.459  12
20.62  4.307  13
23.89  3.725  100
28.82  3.098  14
31.84  2.810  38
31.99  2.798  12
36.15  2.485  10
45.83  1.980  8
48.87  1.864  10
52.38  1.747  7
56.58  1.627  7

Cell and atoms:
```
NaMgFeS3O12
1.0
7.474 -4.300 0.000
7.474 4.300 0.000
-4.978 0.000 7.416
Na Mg Fe S O
2 2 2 6 24
direct
0.250 0.750 0.500
0.750 0.250 0.000
0.396 0.898 0.938
0.898 0.396 0.438
0.100 0.598 0.050
0.598 0.100 0.550
0.202 0.295 0.244
0.295 0.202 0.744
0.495 0.707 0.244
0.707 0.495 0.744
0.790 0.997 0.243
0.997 0.790 0.743
0.025 0.320 0.254
0.028 0.757 0.907
0.139 0.238 0.582
0.162 0.819 0.764
0.185 0.475 0.239
0.238 0.139 0.082
0.264 0.362 0.911
0.320 0.025 0.754
0.326 0.685 0.230
0.362 0.264 0.411
0.461 0.744 0.086
0.475 0.185 0.739
0.525 0.869 0.413
0.532 0.660 0.759
0.632 0.964 0.080
0.660 0.532 0.259
0.685 0.326 0.730
0.744 0.461 0.586
0.757 0.028 0.407
0.819 0.162 0.264
0.828 0.969 0.735
0.869 0.525 0.913
0.964 0.632 0.580
0.969 0.828 0.235
```



Repeat the second record exactly.
For NaMgFeS3O12, DFT lattice parameters and positions (PBE+U) gives the theoretical powder X-ray diffraction pattern in this record (Cu Kα, 1.54184 Å).

Largest 12 diffraction maxima, in order of rising 2θ, 2θ from 10° to 80°:
two_theta  d/Å  I/Imax
14.29  6.197  18
19.91  4.459  12
20.62  4.307  13
23.89  3.725  100
28.82  3.098  14
31.84  2.810  38
31.99  2.798  12
36.15  2.485  10
45.83  1.980  8
48.87  1.864  10
52.38  1.747  7
56.58  1.627  7

Cell and atoms:
```
NaMgFeS3O12
1.0
7.474 -4.300 0.000
7.474 4.300 0.000
-4.978 0.000 7.416
Na Mg Fe S O
2 2 2 6 24
direct
0.250 0.750 0.500
0.750 0.250 0.000
0.396 0.898 0.938
0.898 0.396 0.438
0.100 0.598 0.050
0.598 0.100 0.550
0.202 0.295 0.244
0.295 0.202 0.744
0.495 0.707 0.244
0.707 0.495 0.744
0.790 0.997 0.243
0.997 0.790 0.743
0.025 0.320 0.254
0.028 0.757 0.907
0.139 0.238 0.582
0.162 0.819 0.764
0.185 0.475 0.239
0.238 0.139 0.082
0.264 0.362 0.911
0.320 0.025 0.754
0.326 0.685 0.230
0.362 0.264 0.411
0.461 0.744 0.086
0.475 0.185 0.739
0.525 0.869 0.413
0.532 0.660 0.759
0.632 0.964 0.080
0.660 0.532 0.259
0.685 0.326 0.730
0.744 0.461 0.586
0.757 0.028 0.407
0.819 0.162 0.264
0.828 0.969 0.735
0.869 0.525 0.913
0.964 0.632 0.580
0.969 0.828 0.235
```